Structure and calculated powder X-ray diffraction pattern of KTaPb4 (a structure optimized by DFT (GGA-PBE); λ = 1.5418 Å (Cu Kα)).

Structural model:
abc: 9.1212 9.1212 9.1212
angles: 90.00 90.00 90.00
Space group F-43m (No. 216)
Asymmetric unit:
1 K 0.0000 0.0000 0.0000 x4
2 Ta 0.2500 0.2500 0.2500 x4
3 Pb 0.1240 0.1240 0.6240 x16

Most intense lines, 2θ = 10–80°, in order of rising 2θ:
index, two_theta, intensity
1 1 1, 16.84, 36
3 1 1, 32.56, 100
2 2 2, 34.05, 62
3 3 3, 52.10, 36
4 4 0, 57.12, 34
6 2 2, 68.20, 26



Structure and calculated powder X-ray diffraction pattern of Li2Be2RuO6 (a structure optimized by DFT (GGA-PBE); λ = 1.5418 Å (Cu Kα)).

Structural model:
abc: 4.7801 4.7801 4.8373
angles: 90.00 90.00 120.00
Space group P-31m (No. 162)
Asymmetric unit:
1 Li 0.3333 0.6667 0.0000 x2
2 Be 0.3333 0.6667 0.5000 x2
3 Ru 0.0000 0.0000 0.5000 x1
4 O 0.0000 0.3497 0.7053 x6

Most intense lines, 2θ = 10–80°, in order of rising 2θ:
index, two_theta, intensity
0 0 1, 18.34, 93
1 0 0, 21.47, 72
1 0 1, 28.38, 100
2 -1 1, 42.17, 48
1 0 2, 43.33, 29
2 -1 2, 53.93, 44



Structure and calculated powder X-ray diffraction pattern of CsK2Pa3S8 (a structure optimized by DFT (GGA-PBE); λ = 1.5418 Å (Cu Kα)).

Structural model:
abc: 8.3139 8.3139 23.5597
angles: 90.00 90.00 120.00
Space group R3m (No. 160, hexagonal axes)
Asymmetric unit:
1 Cs 0.0000 0.0000 0.0000 x3
2 K 0.0000 0.0000 0.2629 x3
3 K 0.0000 0.0000 0.6357 x3
4 Pa 0.0010 0.5005 0.1358 x9
5 S 0.0000 0.0000 0.4075 x3
6 S 0.0000 0.0000 0.8603 x3
7 S 0.0427 0.5213 0.4092 x9
8 S 0.1852 0.3704 0.1970 x9

Most intense lines, 2θ = 10–80°, in order of rising 2θ:
index, two_theta, intensity
0 0 3, 11.27, 100
0 0 6, 22.60, 39
1 1 3, 24.22, 47
0 2 1, 25.02, 67
0 2 4, 29.07, 54
0 2 7, 36.55, 50



Structure and calculated powder X-ray diffraction pattern of Tb12Pr5Cd2 (a structure optimized by DFT (GGA-PBE); λ = 1.5418 Å (Cu Kα)).

Structural model:
abc: 15.5933 9.3224 8.4488
angles: 90.00 92.56 90.00
Space group C2/m (No. 12)
Asymmetric unit:
1 Tb 0.0548 0.0000 0.3272 x4
2 Tb 0.0754 0.5000 0.8797 x4
3 Tb 0.1265 0.1921 0.6749 x8
4 Tb 0.1432 0.3176 0.2364 x8
5 Pr 0.0000 0.5000 0.5000 x2
6 Pr 0.2027 0.0000 0.0177 x4
7 Pr 0.2341 0.5000 0.5744 x4
8 Cd 0.0000 0.1721 0.0000 x4

Most intense lines, 2θ = 10–80°, in order of rising 2θ:
index, two_theta, intensity
2 2 -2, 30.45, 72
1 3 1, 31.29, 50
5 1 -1, 31.66, 100
4 0 2, 31.96, 74
1 1 -3, 33.53, 78
3 3 1, 35.54, 57



Structure and calculated powder X-ray diffraction pattern of SrMg5Bi3 (a structure optimized by DFT (GGA-PBE); λ = 1.5418 Å (Cu Kα)).

Structural model:
abc: 4.7783 13.5127 9.0163
angles: 90.00 105.20 90.00
Space group P2_1/m (No. 11)
Asymmetric unit:
1 Sr 0.0905 0.2500 0.1822 x2
2 Mg 0.0000 0.0000 0.0000 x2
3 Mg 0.1964 0.5477 0.3944 x4
4 Mg 0.4462 0.1370 0.8933 x4
5 Bi 0.1224 0.7500 0.2445 x2
6 Bi 0.3757 0.5661 0.7504 x4

Most intense lines, 2θ = 10–80°, in order of rising 2θ:
index, two_theta, intensity
0 0 2, 20.40, 100
0 3 1, 22.22, 64
1 2 0, 23.37, 70
1 2 -2, 27.55, 40
1 2 2, 34.54, 50
0 3 3, 36.86, 32



Structure and calculated powder X-ray diffraction pattern of Sr4LiGa2 (a structure optimized by DFT (GGA-PBE); λ = 1.5418 Å (Cu Kα)).

Structural model:
abc: 5.5858 5.5858 27.2517
angles: 90.00 90.00 120.00
Space group R-3m (No. 166, hexagonal axes)
Asymmetric unit:
1 Sr 0.0000 0.0000 0.1214 x6
2 Sr 0.0000 0.0000 0.3725 x6
3 Li 0.0000 0.0000 0.5000 x3
4 Ga 0.0000 0.0000 0.2454 x6

Most intense lines, 2θ = 10–80°, in order of rising 2θ:
index, two_theta, intensity
0 0 6, 19.49, 18
1 0 4, 22.54, 20
1 1 0, 32.09, 100
2 0 8, 46.02, 18
3 0 0, 57.16, 28
1 0 16, 57.35, 8